# 1
The following is a calculated X-ray powder pattern of Cs2GaHgBr6. It was derived from a GGA-PBE-relaxed structure, using copper Kα.
Peak positions follow from Bragg's law for the DFT cell and can differ from measured ones.

Principal peaks in the range 2θ = 10–80°, low angle first:
2θ/deg, I_rel
22.48, 65
27.62, 43
32.00, 100
39.46, 29
45.88, 71
57.03, 24
62.08, 17
76.09, 30

Structure:
```
Cs2GaHgBr6
1.0
0.0000 5.5943 5.5943
5.5943 0.0000 5.5943
5.5943 5.5943 0.0000
Cs Ga Hg Br
2 1 1 6
Cartesian
2.7971 2.7971 2.7971 Cs
8.3914 8.3914 8.3914 Cs
0.0000 0.0000 0.0000 Ga
5.5943 5.5943 5.5943 Hg
5.5943 5.5943 2.6440 Br
5.5943 2.6440 5.5943 Br
8.5446 5.5943 5.5943 Br
2.6440 5.5943 5.5943 Br
5.5943 8.5446 5.5943 Br
5.5943 5.5943 8.5446 Br
```



# 2
The following is a calculated X-ray powder pattern of Cs2NaGaBr6. It was derived from a GGA-PBE-relaxed structure, using copper Kα.
Peak positions follow from Bragg's law for the DFT cell and can differ from measured ones.

Principal peaks in the range 2θ = 10–80°, low angle first:
2θ/deg, I_rel
22.55, 24
27.71, 100
32.11, 86
46.05, 59
54.59, 39
57.24, 19
74.13, 14
76.40, 23

Structure:
```
Cs2NaGaBr6
1.0
0.0000 5.5753 5.5753
5.5753 0.0000 5.5753
5.5753 5.5753 0.0000
Cs Na Ga Br
2 1 1 6
Cartesian
2.7876 2.7876 2.7876 Cs
8.3629 8.3629 8.3629 Cs
0.0000 0.0000 0.0000 Na
5.5753 5.5753 5.5753 Ga
5.5753 5.5753 2.9888 Br
5.5753 2.9888 5.5753 Br
8.1617 5.5753 5.5753 Br
2.9888 5.5753 5.5753 Br
5.5753 8.1617 5.5753 Br
5.5753 5.5753 8.1617 Br
```



# 3
The following is a calculated X-ray powder pattern of Cs2RbGaBr6. It was derived from a GGA-PBE-relaxed structure, using copper Kα.
Peak positions follow from Bragg's law for the DFT cell and can differ from measured ones.

Principal peaks in the range 2θ = 10–80°, low angle first:
2θ/deg, I_rel
21.46, 50
26.37, 81
30.54, 100
43.73, 66
49.21, 18
51.79, 26
54.28, 20
72.15, 22

Structure:
```
Cs2RbGaBr6
1.0
0.0000 5.8548 5.8548
5.8548 0.0000 5.8548
5.8548 5.8548 0.0000
Cs Rb Ga Br
2 1 1 6
Cartesian
2.9274 2.9274 2.9274 Cs
8.7822 8.7822 8.7822 Cs
0.0000 0.0000 0.0000 Rb
5.8548 5.8548 5.8548 Ga
5.8548 5.8548 3.2790 Br
5.8548 3.2790 5.8548 Br
8.4306 5.8548 5.8548 Br
3.2790 5.8548 5.8548 Br
5.8548 8.4306 5.8548 Br
5.8548 5.8548 8.4306 Br
```



# 4
The following is a calculated X-ray powder pattern of Cs2TlGaBr6. It was derived from a GGA-PBE-relaxed structure, using copper Kα.
Peak positions follow from Bragg's law for the DFT cell and can differ from measured ones.

Principal peaks in the range 2θ = 10–80°, low angle first:
2θ/deg, I_rel
21.77, 72
26.75, 42
30.98, 100
38.19, 29
44.39, 68
49.96, 22
55.11, 22
73.35, 25

Structure:
```
Cs2TlGaBr6
1.0
0.0000 5.7726 5.7726
5.7726 0.0000 5.7726
5.7726 5.7726 0.0000
Cs Tl Ga Br
2 1 1 6
Cartesian
2.8863 2.8863 2.8863 Cs
8.6590 8.6590 8.6590 Cs
0.0000 0.0000 0.0000 Tl
5.7726 5.7726 5.7726 Ga
5.7726 5.7726 3.1869 Br
5.7726 3.1869 5.7726 Br
8.3583 5.7726 5.7726 Br
3.1869 5.7726 5.7726 Br
5.7726 8.3583 5.7726 Br
5.7726 5.7726 8.3583 Br
```



# 5
The following is a calculated X-ray powder pattern of CsGeBr3. It was derived from a GGA-PBE-relaxed structure, using copper Kα.
Peak positions follow from Bragg's law for the DFT cell and can differ from measured ones.

Principal peaks in the range 2θ = 10–80°, low angle first:
2θ/deg, I_rel
22.40, 36
27.53, 87
31.89, 100
39.32, 17
45.72, 72
54.20, 38
56.82, 25
75.79, 32

Structure:
```
CsGeBr3
1.0
5.6128 0.0000 0.0000
0.0000 5.6128 0.0000
0.0000 0.0000 5.6128
Cs Ge Br
1 1 3
Cartesian
0.0000 0.0000 0.0000 Cs
2.8064 2.8064 2.8064 Ge
0.0000 2.8064 2.8064 Br
2.8064 0.0000 2.8064 Br
2.8064 2.8064 0.0000 Br
```